(1)
# PmPr3Dy12
Computed powder XRD pattern, λ = 1.5418 Å (Cu Kα). Input: a cell relaxed with PBE.
Peak positions follow from Bragg's law for the DFT cell and can differ from measured ones.

Peak list (5 most intense, 2θ = 5–70°, in order of rising 2θ)
2θ = 30.59°, intensity 100
2θ = 35.47°, intensity 51
2θ = 51.03°, intensity 36
2θ = 60.67°, intensity 43
2θ = 63.68°, intensity 12

Structure:
```
data_PmPr3Dy12
_chemical_formula_sum 'Pm1 Pr3 Dy12'
_cell_length_a 5.0618
_cell_length_b 5.0618
_cell_length_c 20.2527
_cell_angle_alpha 90.00
_cell_angle_beta 90.00
_cell_angle_gamma 90.00
_symmetry_space_group_name_H-M 'P 1'
_symmetry_Int_Tables_number 1
loop_
_symmetry_equiv_pos_as_xyz
'x,y,z'
loop_
_atom_site_label
_atom_site_type_symbol
_atom_site_fract_x
_atom_site_fract_y
_atom_site_fract_z
_atom_site_occupancy
Pm1 Pm 0.0000 0.0000 0.0000 1
Pr1 Pr 0.0000 0.0000 0.2496 1
Pr2 Pr 0.0000 0.0000 0.5000 1
Pr3 Pr 0.0000 0.0000 0.7504 1
Dy1 Dy 0.0000 0.5000 0.1241 1
Dy2 Dy 0.0000 0.5000 0.3747 1
Dy3 Dy 0.0000 0.5000 0.6253 1
Dy4 Dy 0.0000 0.5000 0.8759 1
Dy5 Dy 0.5000 0.0000 0.1241 1
Dy6 Dy 0.5000 0.0000 0.3747 1
Dy7 Dy 0.5000 0.0000 0.6253 1
Dy8 Dy 0.5000 0.0000 0.8759 1
Dy9 Dy 0.5000 0.5000 0.0000 1
Dy10 Dy 0.5000 0.5000 0.2493 1
Dy11 Dy 0.5000 0.5000 0.5000 1
Dy12 Dy 0.5000 0.5000 0.7507 1
```

(2)
# Pm3PrDy8
Computed powder XRD pattern, λ = 1.5418 Å (Cu Kα). Input: a cell relaxed with PBE.
Peak positions follow from Bragg's law for the DFT cell and can differ from measured ones.

Peak list (10 most intense, 2θ = 5–70°, in order of rising 2θ)
2θ = 28.30°, intensity 24
2θ = 31.21°, intensity 25
2θ = 32.40°, intensity 100
2θ = 42.63°, intensity 16
2θ = 50.09°, intensity 20
2θ = 56.30°, intensity 21
2θ = 60.20°, intensity 19
2θ = 60.30°, intensity 4
2θ = 60.88°, intensity 5
2θ = 60.96°, intensity 11

Structure:
```
data_Pm3PrDy8
_chemical_formula_sum 'Pm3 Pr1 Dy8'
_cell_length_a 8.5152
_cell_length_b 8.5152
_cell_length_c 10.9173
_cell_angle_alpha 129.79
_cell_angle_beta 129.79
_cell_angle_gamma 43.51
_symmetry_space_group_name_H-M 'P 1'
_symmetry_Int_Tables_number 1
loop_
_symmetry_equiv_pos_as_xyz
'x,y,z'
loop_
_atom_site_label
_atom_site_type_symbol
_atom_site_fract_x
_atom_site_fract_y
_atom_site_fract_z
_atom_site_occupancy
Pm1 Pm 0.0000 0.0000 0.0000 1
Pm2 Pm 0.0869 0.4139 0.7504 1
Pm3 Pm 0.5861 0.9131 0.2496 1
Pr1 Pr 0.4996 0.5004 0.5000 1
Dy1 Dy 0.0032 0.9965 0.3315 1
Dy2 Dy 0.0035 0.9968 0.6685 1
Dy3 Dy 0.0817 0.4169 0.0814 1
Dy4 Dy 0.0822 0.4170 0.4175 1
Dy5 Dy 0.5033 0.4964 0.8325 1
Dy6 Dy 0.5036 0.4967 0.1675 1
Dy7 Dy 0.5830 0.9178 0.5825 1
Dy8 Dy 0.5831 0.9183 0.9186 1
```

(3)
# Pm3Pr3Dy2
Computed powder XRD pattern, λ = 1.5418 Å (Cu Kα). Input: a cell relaxed with PBE.
Peak positions follow from Bragg's law for the DFT cell and can differ from measured ones.

Peak list (10 most intense, 2θ = 5–70°, in order of rising 2θ)
2θ = 22.52°, intensity 6
2θ = 29.34°, intensity 21
2θ = 30.59°, intensity 30
2θ = 31.28°, intensity 100
2θ = 33.69°, intensity 18
2θ = 42.90°, intensity 15
2θ = 46.70°, intensity 8
2θ = 54.82°, intensity 21
2θ = 56.86°, intensity 9
2θ = 63.39°, intensity 6

Structure:
```
data_Pm3Pr3Dy2
_chemical_formula_sum 'Pm3 Pr3 Dy2'
_cell_length_a 8.8447
_cell_length_b 8.8447
_cell_length_c 6.0879
_cell_angle_alpha 110.00
_cell_angle_beta 110.00
_cell_angle_gamma 38.59
_symmetry_space_group_name_H-M 'P 1'
_symmetry_Int_Tables_number 1
loop_
_symmetry_equiv_pos_as_xyz
'x,y,z'
loop_
_atom_site_label
_atom_site_type_symbol
_atom_site_fract_x
_atom_site_fract_y
_atom_site_fract_z
_atom_site_occupancy
Pm1 Pm 0.0000 0.0000 0.0000 1
Pm2 Pm 0.1342 0.1342 0.5796 1
Pm3 Pm 0.8658 0.8658 0.4204 1
Pr1 Pr 0.3652 0.3652 0.8095 1
Pr2 Pr 0.5000 0.5000 0.5000 1
Pr3 Pr 0.6348 0.6348 0.1905 1
Dy1 Dy 0.2497 0.2497 0.1819 1
Dy2 Dy 0.7503 0.7503 0.8181 1
```

(4)
# Pm6PrDy8
Computed powder XRD pattern, λ = 1.5418 Å (Cu Kα). Input: a cell relaxed with PBE.
Peak positions follow from Bragg's law for the DFT cell and can differ from measured ones.

Peak list (10 most intense, 2θ = 5–70°, in order of rising 2θ)
2θ = 30.22°, intensity 21
2θ = 31.16°, intensity 100
2θ = 32.12°, intensity 29
2θ = 32.39°, intensity 9
2θ = 34.60°, intensity 11
2θ = 36.47°, intensity 14
2θ = 39.49°, intensity 6
2θ = 52.62°, intensity 12
2θ = 54.83°, intensity 9
2θ = 59.70°, intensity 11

Structure:
```
data_Pm6PrDy8
_chemical_formula_sum 'Pm6 Pr1 Dy8'
_cell_length_a 8.7209
_cell_length_b 8.7209
_cell_length_c 8.7209
_cell_angle_alpha 63.11
_cell_angle_beta 63.11
_cell_angle_gamma 63.11
_symmetry_space_group_name_H-M 'P 1'
_symmetry_Int_Tables_number 1
loop_
_symmetry_equiv_pos_as_xyz
'x,y,z'
loop_
_atom_site_label
_atom_site_type_symbol
_atom_site_fract_x
_atom_site_fract_y
_atom_site_fract_z
_atom_site_occupancy
Pm1 Pm 0.0370 0.6048 0.7300 1
Pm2 Pm 0.2700 0.9630 0.3952 1
Pm3 Pm 0.3952 0.2700 0.9630 1
Pm4 Pm 0.6048 0.7300 0.0370 1
Pm5 Pm 0.7300 0.0370 0.6048 1
Pm6 Pm 0.9630 0.3952 0.2700 1
Pr1 Pr 0.5000 0.5000 0.5000 1
Dy1 Dy 0.0766 0.0766 0.0766 1
Dy2 Dy 0.2181 0.6118 0.2460 1
Dy3 Dy 0.2460 0.2181 0.6118 1
Dy4 Dy 0.3882 0.7540 0.7819 1
Dy5 Dy 0.6118 0.2460 0.2181 1
Dy6 Dy 0.7540 0.7819 0.3882 1
Dy7 Dy 0.7819 0.3882 0.7540 1
Dy8 Dy 0.9234 0.9234 0.9234 1
```